This entry pairs a crystal structure of Sr2AlP with its calculated X-ray diffraction stick pattern. Radiation: Cu Kα X-rays. Structure: a PBE-relaxed structure.

Most intense lines, 15° ≤ 2θ ≤ 90°, sorted by position:
2theta  I_rel
26.77  26
29.67  100
31.09  15
37.12  42
38.27  10
44.36  11
46.35  12
49.18  17
54.32  20
62.37  12

Cell and atoms:
a = 4.0844 Å, b = 6.2429 Å, c = 6.2429 Å
α = 45.66°, β = 90.00°, γ = 90.00°
Positions (direct):
Sr: 0.0000 0.0000 0.0000
Sr: 0.5000 0.2835 0.2835
Al: 0.0000 0.7028 0.7028
P: 0.5000 0.5706 0.5706

This entry pairs a crystal structure of Sr2InTcGe with its calculated X-ray diffraction stick pattern. Radiation: Cu Kα X-rays. Structure: a PBE-relaxed structure.

Most intense lines, 15° ≤ 2θ ≤ 90°, sorted by position:
2theta  I_rel
15.87  51
28.31  90
32.06  100
34.24  42
45.97  36
47.61  65
54.87  28
58.56  35
76.26  16
86.32  23

Cell and atoms:
a = 5.5835 Å, b = 5.5835 Å, c = 5.2370 Å
α = 90.00°, β = 90.00°, γ = 90.00°
Positions (direct):
Sr: 0.0000 0.5000 0.0000
Sr: 0.5000 0.0000 0.0000
In: 0.0000 0.0000 0.5000
Tc: 0.0000 0.0000 0.0000
Ge: 0.5000 0.5000 0.5000